Entry 1:
Pu2PaN4: simulated powder X-ray diffraction pattern (Cu Kα), based on a structure optimized by DFT (GGA-PBE).

Largest 12 diffraction maxima, in order of falling intensity, 15 to 90 degrees two-theta:
2θ = 30.40°, d = 2.940 Å, I = 100; 2θ = 30.02°, d = 2.977 Å, I = 46; 2θ = 39.74°, d = 2.268 Å, I = 23; 2θ = 38.82°, d = 2.320 Å, I = 23; 2θ = 39.64°, d = 2.274 Å, I = 17; 2θ = 59.88°, d = 1.545 Å, I = 14; 2θ = 57.46°, d = 1.604 Å, I = 13; 2θ = 66.41°, d = 1.408 Å, I = 13; 2θ = 34.95°, d = 2.567 Å, I = 13; 2θ = 46.63°, d = 1.948 Å, I = 13; 2θ = 57.15°, d = 1.612 Å, I = 13; 2θ = 47.34°, d = 1.920 Å, I = 12

Cell and atoms:
abc: 7.173 7.173 7.354
angles: 90.00 90.00 90.00
Space group I-42d (No. 122)
Unique sites:
Pu1 0.115 0.250 0.125 x8
Pa1 0.000 0.000 0.500 x4
N1 0.064 0.187 0.806 x16


Entry 2:
Rb3PuPa2N6: simulated powder X-ray diffraction pattern (Cu Kα), based on a structure optimized by DFT (GGA-PBE).

Largest 12 diffraction maxima, in order of falling intensity, 15 to 90 degrees two-theta:
2θ = 30.00°, d = 2.979 Å, I = 100; 2θ = 33.80°, d = 2.652 Å, I = 98; 2θ = 26.54°, d = 3.358 Å, I = 51; 2θ = 58.13°, d = 1.587 Å, I = 36; 2θ = 46.34°, d = 1.959 Å, I = 36; 2θ = 50.70°, d = 1.800 Å, I = 32; 2θ = 54.19°, d = 1.692 Å, I = 25; 2θ = 28.97°, d = 3.082 Å, I = 24; 2θ = 62.34°, d = 1.490 Å, I = 17; 2θ = 60.04°, d = 1.541 Å, I = 15; 2θ = 77.77°, d = 1.228 Å, I = 15; 2θ = 84.40°, d = 1.148 Å, I = 15

Cell and atoms:
abc: 6.238 10.802 7.031
angles: 90.00 107.20 90.00
Space group C2/m (No. 12)
Unique sites:
Rb1 0.000 0.000 0.000 x2
Rb2 0.000 0.335 0.000 x4
Pu1 0.000 0.500 0.500 x2
Pa1 0.000 0.167 0.500 x4
N1 0.215 0.335 0.650 x8
N2 0.220 0.000 0.650 x4


Entry 3:
PuPa2VN4: simulated powder X-ray diffraction pattern (Cu Kα), based on a structure optimized by DFT (GGA-PBE).

Largest 12 diffraction maxima, in order of falling intensity, 15 to 90 degrees two-theta:
2θ = 27.57°, d = 3.235 Å, I = 100; 2θ = 31.50°, d = 2.840 Å, I = 91; 2θ = 30.69°, d = 2.913 Å, I = 76; 2θ = 38.52°, d = 2.337 Å, I = 59; 2θ = 36.03°, d = 2.492 Å, I = 45; 2θ = 53.20°, d = 1.722 Å, I = 42; 2θ = 47.98°, d = 1.896 Å, I = 35; 2θ = 50.06°, d = 1.822 Å, I = 28; 2θ = 28.51°, d = 3.131 Å, I = 23; 2θ = 61.87°, d = 1.500 Å, I = 23; 2θ = 63.58°, d = 1.463 Å, I = 20; 2θ = 52.71°, d = 1.736 Å, I = 17

Cell and atoms:
abc: 3.385 11.641 11.676
angles: 90.00 90.00 90.00
Space group Cmcm (No. 63)
Unique sites:
Pu1 0.000 0.105 0.250 x4
Pa1 0.000 0.367 0.052 x8
V1 0.000 0.159 0.750 x4
N1 0.000 0.000 0.000 x4
N2 0.000 0.272 0.624 x8
N3 0.000 0.444 0.250 x4


Entry 4:
RbSr3Pa2N6: simulated powder X-ray diffraction pattern (Cu Kα), based on a structure optimized by DFT (GGA-PBE).

Largest 12 diffraction maxima, in order of falling intensity, 15 to 90 degrees two-theta:
2θ = 29.24°, d = 3.055 Å, I = 100; 2θ = 34.05°, d = 2.633 Å, I = 98; 2θ = 28.84°, d = 3.096 Å, I = 54; 2θ = 29.73°, d = 3.005 Å, I = 47; 2θ = 33.64°, d = 2.664 Å, I = 45; 2θ = 57.52°, d = 1.602 Å, I = 36; 2θ = 48.03°, d = 1.894 Å, I = 32; 2θ = 49.20°, d = 1.852 Å, I = 31; 2θ = 58.25°, d = 1.584 Å, I = 23; 2θ = 48.86°, d = 1.864 Å, I = 20; 2θ = 58.60°, d = 1.575 Å, I = 17; 2θ = 60.63°, d = 1.527 Å, I = 16

Cell and atoms:
abc: 16.306 3.728 7.440
angles: 90.00 101.36 90.00
Space group C2/m (No. 12)
Unique sites:
Rb1 0.000 0.000 0.000 x2
Sr1 0.000 0.000 0.500 x2
Sr2 0.167 0.500 0.839 x4
Pa1 0.172 0.500 0.335 x4
N1 0.045 0.500 0.308 x4
N2 0.181 0.000 0.138 x4
N3 0.188 0.000 0.577 x4